Structure and computed XRD peak list of Li12CrO7 (a cell relaxed with PBE+U; Cu Kα (λ = 1.5418 Å)).
Peak positions follow from Bragg's law for the DFT cell and can differ from measured ones.

Principal peaks in the range 2θ from 10° to 90°, low angle first:
2θ (°), d (Å), Rel. int.
15.60, 5.680, 85.7
17.30, 5.125, 100.0
29.23, 3.055, 16.5
31.50, 2.840, 17.1
36.16, 2.484, 19.6
44.20, 2.049, 44.4
46.90, 1.937, 7.9
51.22, 1.784, 9.8
62.86, 1.478, 17.2
65.69, 1.421, 8.6

Atomic structure:
a = 6.410 Å, b = 6.410 Å, c = 6.410 Å
α = 106.17°, β = 106.17°, γ = 106.17°
Element x y z (fractional)
Li 0.070 0.147 0.325
Li 0.147 0.325 0.070
Li 0.171 0.563 0.686
Li 0.314 0.829 0.437
Li 0.325 0.070 0.147
Li 0.437 0.314 0.829
Li 0.563 0.686 0.171
Li 0.675 0.930 0.853
Li 0.686 0.171 0.563
Li 0.829 0.437 0.314
Li 0.853 0.675 0.930
Li 0.930 0.853 0.675
Cr 0.500 0.500 0.500
O 0.000 0.000 0.000
O 0.160 0.493 0.370
O 0.370 0.160 0.493
O 0.493 0.370 0.160
O 0.507 0.630 0.840
O 0.630 0.840 0.507
O 0.840 0.507 0.630